ZnCr5O8: calculated X-ray diffraction stick pattern (Cu Kα (weighted mean of Kα1 and Kα2)), based on a cell relaxed with GGA+U.

Top 10 peaks for 2θ from 10° to 90°, in order of rising 2θ:
| d/Å | intensity | index |
| --- | --- | --- |
| 4.932 | 7.7 | 1 1 1 |
| 3.020 | 35.4 | 2 2 0 |
| 2.576 | 100.0 | 3 1 1 |
| 2.466 | 6.4 | 2 2 2 |
| 2.136 | 16.8 | 4 0 0 |
| 1.744 | 11.8 | 4 2 2 |
| 1.644 | 37.2 | 5 1 1 |
| 1.510 | 44.3 | 4 4 0 |
| 1.303 | 10.0 | 5 3 3 |
| 1.112 | 15.9 | 5 5 3 |

Unit cell a=8.542 b=8.542 c=8.542 alpha=90.00 beta=90.00 gamma=90.00
Space group F-43m (No. 216)
Inequivalent atoms, fractional coordinates:
Zn  0.000  0.000  0.000 [4 per cell]
Cr  0.125  0.125  0.625 [16 per cell]
Cr  0.250  0.250  0.250 [4 per cell]
O  0.112  0.112  0.388 [16 per cell]
O  0.137  0.137  0.863 [16 per cell]